# 1
# BaSrTbBiO6
Simulated powder diffraction line list, Cu Kα, 1.54184 Å. Input: a cell relaxed with GGA-PBE.
Peak positions follow from Bragg's law for the DFT cell and can differ from measured ones.

Largest 12 diffraction maxima, most intense first, 2θ = 10–90°:
- hkl 2 0 2, 29.23 deg, I 100
- hkl 2 4 2, 51.83 deg, I 44
- hkl 0 4 0, 41.78 deg, I 18
- hkl 0 4 4, 60.62 deg, I 17
- hkl 2 0 6, 68.65 deg, I 12
- hkl 2 4 6, 83.72 deg, I 12
- hkl 6 4 2, 83.83 deg, I 12
- hkl 0 2 0, 20.56 deg, I 11
- hkl 4 0 0, 41.88 deg, I 9
- hkl 6 0 2, 68.80 deg, I 6
- hkl 4 4 4, 76.36 deg, I 6
- hkl 2 0 4, 47.00 deg, I 4

Structural model:
```
data_BaSrTbBiO6
_cell_length_a 8.628
_cell_length_b 8.642
_cell_length_c 8.652
_cell_angle_alpha 90.00
_cell_angle_beta 90.00
_cell_angle_gamma 90.00
_symmetry_space_group_name_H-M 'P n n n'
_symmetry_Int_Tables_number 48
loop_
_symmetry_equiv_pos_as_xyz
'x,y,z'
'-x,-y,-z'
'-x+1/2,-y+1/2,z'
'x+1/2,y+1/2,-z'
'x,-y+1/2,-z+1/2'
'-x,y+1/2,z+1/2'
'-x+1/2,y,-z+1/2'
'x+1/2,-y,z+1/2'
loop_
_atom_site_label
_atom_site_type_symbol
_atom_site_fract_x
_atom_site_fract_y
_atom_site_fract_z
Ba1 Ba 0.250 0.250 0.250
Ba2 Ba 0.250 0.750 0.750
Sr1 Sr 0.250 0.250 0.750
Sr2 Sr 0.250 0.750 0.250
Tb1 Tb 0.000 0.000 0.000
Bi1 Bi 0.000 0.000 0.500
O1 O 0.027 0.243 0.472
O2 O 0.041 0.030 0.742
O3 O 0.242 0.534 0.038
```

# 2
# Mg2Si
Simulated powder diffraction line list, Cu Kα, 1.54184 Å. Input: a cell relaxed with GGA-PBE.
Peak positions follow from Bragg's law for the DFT cell and can differ from measured ones.

Largest 12 diffraction maxima, most intense first, 2θ = 10–90°:
- hkl 2 1 1, 35.16 deg, I 100
- hkl 1 1 2, 33.38 deg, I 73
- hkl 0 2 0, 43.03 deg, I 49
- hkl 2 1 0, 33.28 deg, I 37
- hkl 1 1 3, 42.01 deg, I 37
- hkl 0 1 3, 39.89 deg, I 35
- hkl 3 0 2, 44.87 deg, I 33
- hkl 1 0 3, 35.88 deg, I 26
- hkl 3 2 2, 63.91 deg, I 22
- hkl 3 0 1, 40.19 deg, I 20
- hkl 5 1 1, 71.97 deg, I 18
- hkl 3 1 1, 45.84 deg, I 14

Structural model:
```
data_Mg2Si
_cell_length_a 7.010
_cell_length_b 4.204
_cell_length_c 8.040
_cell_angle_alpha 90.00
_cell_angle_beta 90.00
_cell_angle_gamma 90.00
_symmetry_space_group_name_H-M 'P n m a'
_symmetry_Int_Tables_number 62
_symmetry_space_group_name_Hall '-P 2ac 2n'
loop_
_atom_site_label
_atom_site_type_symbol
_atom_site_fract_x
_atom_site_fract_y
_atom_site_fract_z
Mg1 Mg 0.031 0.250 0.166
Mg2 Mg 0.141 0.250 0.561
Si1 Si 0.247 0.750 0.374
```

# 3
# CeSe2
Simulated powder diffraction line list, Cu Kα, 1.54184 Å. Input: a cell relaxed with GGA-PBE.
Peak positions follow from Bragg's law for the DFT cell and can differ from measured ones.

Largest 12 diffraction maxima, most intense first, 2θ = 10–90°:
- hkl 0 2 0, 14.21 deg, I 100
- hkl 1 1 0, 10.59 deg, I 84
- hkl 2 0 -1, 16.14 deg, I 43
- hkl 1 1 2, 20.56 deg, I 39
- hkl 0 2 2, 21.50 deg, I 38
- hkl 4 2 -4, 43.38 deg, I 27
- hkl 1 3 1, 24.71 deg, I 27
- hkl 0 2 1, 16.31 deg, I 27
- hkl 0 4 2, 32.99 deg, I 20
- hkl 1 1 -2, 17.83 deg, I 20
- hkl 4 2 0, 34.99 deg, I 18
- hkl 2 0 -2, 20.07 deg, I 17

Structural model:
```
data_CeSe2
_cell_length_a 11.497
_cell_length_b 12.477
_cell_length_c 11.304
_cell_angle_alpha 90.00
_cell_angle_beta 101.82
_cell_angle_gamma 90.00
_symmetry_space_group_name_H-M 'C 1 2 1'
_symmetry_Int_Tables_number 5
_symmetry_space_group_name_Hall 'C 2y'
loop_
_atom_site_label
_atom_site_type_symbol
_atom_site_fract_x
_atom_site_fract_y
_atom_site_fract_z
Ce1 Ce 0.011 0.000 0.236
Ce2 Ce 0.190 0.373 0.422
Se1 Se 0.000 0.457 0.500
Se2 Se 0.000 0.950 0.000
Se3 Se 0.127 0.189 0.293
Se4 Se 0.135 0.844 0.378
Se5 Se 0.213 0.009 0.719
```

# 4
# KIr4O8
Simulated powder diffraction line list, Cu Kα, 1.54184 Å. Input: a cell relaxed with GGA-PBE.
Peak positions follow from Bragg's law for the DFT cell and can differ from measured ones.

Largest 12 diffraction maxima, most intense first, 2θ = 10–90°:
- hkl 2 1 1, 34.26 deg, I 100
- hkl 1 3 0, 27.97 deg, I 61
- hkl 1 1 0, 12.41 deg, I 41
- hkl 2 5 1, 56.89 deg, I 38
- hkl 2 0 0, 17.58 deg, I 35
- hkl 4 1 1, 46.66 deg, I 33
- hkl 3 3 0, 37.84 deg, I 23
- hkl 5 4 1, 66.05 deg, I 20
- hkl 4 0 0, 35.60 deg, I 19
- hkl 6 0 0, 54.58 deg, I 13
- hkl 1 3 2, 64.99 deg, I 11
- hkl 8 1 1, 82.78 deg, I 10

Structural model:
```
data_KIr4O8
_cell_length_a 10.088
_cell_length_b 10.088
_cell_length_c 3.213
_cell_angle_alpha 90.00
_cell_angle_beta 90.00
_cell_angle_gamma 90.00
_symmetry_space_group_name_H-M 'I 4/m'
_symmetry_Int_Tables_number 87
_symmetry_space_group_name_Hall '-I 4'
loop_
_atom_site_label
_atom_site_type_symbol
_atom_site_fract_x
_atom_site_fract_y
_atom_site_fract_z
K1 K 0.000 0.000 0.000
Ir1 Ir 0.149 0.334 0.000
O1 O 0.047 0.660 0.000
O2 O 0.150 0.203 0.500
```